Record 1
Theoretical X-ray diffraction stick pattern
Compound: Sn2PbCl
Radiation: Cu Kα (λ = 1.5418 Å)
Structure: DFT lattice parameters and positions (GGA-PBE)

Most intense lines, 2θ = 10–80°, sorted by position:
| (hkl) | 2θ/deg | Rel. int. |
| --- | --- | --- |
| 1 0 1 | 20.88 | 30.6 |
| 1 0 3 | 23.12 | 20.4 |
| 0 0 8 | 28.00 | 60.3 |
| 1 1 2 | 30.12 | 100.0 |
| 1 1 6 | 36.25 | 61.4 |
| 2 0 4 | 44.33 | 74.3 |
| 1 1 10 | 46.41 | 30.8 |
| 1 1 14 | 59.07 | 15.2 |
| 2 0 12 | 61.23 | 27.3 |
| 2 2 8 | 68.16 | 22.9 |
| 3 1 2 | 69.27 | 19.1 |
| 3 1 6 | 72.81 | 16.7 |

Structural model:
```
Sn2PbCl
1.0
4.314 0.000 0.000
0.000 4.314 0.000
0.000 0.000 25.498
Sn Pb Cl
8 4 4
Direct
0.243 0.250 0.125 Sn
0.250 0.743 0.375 Sn
0.250 0.757 0.875 Sn
0.257 0.250 0.625 Sn
0.743 0.750 0.625 Sn
0.750 0.243 0.875 Sn
0.750 0.257 0.375 Sn
0.757 0.750 0.125 Sn
0.000 0.000 0.000 Pb
0.000 0.500 0.250 Pb
0.500 0.000 0.750 Pb
0.500 0.500 0.500 Pb
0.000 0.000 0.500 Cl
0.000 0.500 0.750 Cl
0.500 0.000 0.250 Cl
0.500 0.500 0.000 Cl
```



Record 2
Theoretical X-ray diffraction stick pattern
Compound: Tb2Ho7Tm
Radiation: Cu Kα (λ = 1.5418 Å)
Structure: DFT lattice parameters and positions (GGA-PBE)

Most intense lines, 2θ = 10–80°, sorted by position:
| (hkl) | 2θ/deg | Rel. int. |
| --- | --- | --- |
| 1 0 2 | 31.13 | 100.0 |
| 1 -2 2 | 36.07 | 33.8 |
| 2 1 -1 | 36.16 | 16.8 |
| 1 2 2 | 51.96 | 30.0 |
| 3 0 -4 | 52.05 | 6.0 |
| 0 1 5 | 61.78 | 24.9 |
| 3 1 1 | 61.90 | 17.7 |
| 2 0 4 | 64.87 | 6.2 |
| 2 2 -6 | 64.95 | 6.1 |
| 2 -4 4 | 76.51 | 3.8 |
| 4 2 -2 | 76.72 | 1.9 |

Structural model:
```
Tb2Ho7Tm
1.0
6.087 0.000 0.000
-1.027 6.011 0.000
-3.029 -2.579 8.422
Tb Ho Tm
2 7 1
Direct
0.100 0.001 0.200 Tb
0.900 0.999 0.800 Tb
0.100 0.500 0.699 Ho
0.300 0.000 0.599 Ho
0.300 0.501 0.100 Ho
0.500 0.000 0.000 Ho
0.700 0.000 0.401 Ho
0.700 0.499 0.900 Ho
0.900 0.500 0.301 Ho
0.500 0.500 0.500 Tm
```